NaB: calculated X-ray powder pattern (Cu Kα), based on the GGA-PBE geometry in the Materials Project.
Neutral-atom scattering factors, no anomalous dispersion.

The 5 most intense peaks (5° ≤ 2θ ≤ 70°), by angle:
| two_theta | I_rel |
| --- | --- |
| 28.8 | 46 |
| 33.4 | 100 |
| 47.9 | 63 |
| 56.9 | 22 |
| 59.7 | 20 |

Structural model:
Cell lengths 3.7956, 3.7956, 3.7956 Å; angles 60.00, 60.00, 60.00 degrees
Element x y z (fractional)
Na: 0.0000 0.0000 0.0000
B: 0.5000 0.5000 0.5000

***

Na3B: calculated X-ray powder pattern (Cu Kα), based on the GGA-PBE geometry in the Materials Project.
Neutral-atom scattering factors, no anomalous dispersion.

The 8 most intense peaks (5° ≤ 2θ ≤ 70°), by angle:
| two_theta | I_rel |
| --- | --- |
| 22.2 | 11 |
| 35.1 | 100 |
| 39.5 | 35 |
| 43.0 | 13 |
| 45.8 | 4 |
| 57.2 | 11 |
| 59.9 | 18 |
| 68.9 | 22 |

Structural model:
Cell lengths 5.2980, 5.2980, 5.2980 Å; angles 129.04, 129.04, 74.94 degrees
Element x y z (fractional)
Na: 0.0000 0.0000 0.0000
Na: 0.2500 0.7500 0.5000
Na: 0.7500 0.2500 0.5000
B: 0.5000 0.5000 0.0000

***

Na3B: calculated X-ray powder pattern (Cu Kα), based on the GGA-PBE geometry in the Materials Project.
Neutral-atom scattering factors, no anomalous dispersion.

The 8 most intense peaks (5° ≤ 2θ ≤ 70°), by angle:
| two_theta | I_rel |
| --- | --- |
| 21.9 | 8 |
| 25.4 | 5 |
| 36.2 | 100 |
| 42.7 | 5 |
| 52.1 | 16 |
| 57.2 | 2 |
| 58.8 | 2 |
| 65.1 | 29 |

Structural model:
Cell lengths 4.9641, 4.9641, 4.9641 Å; angles 60.00, 60.00, 60.00 degrees
Element x y z (fractional)
Na: 0.0000 0.0000 0.0000
Na: 0.2500 0.2500 0.2500
Na: 0.7500 0.7500 0.7500
B: 0.5000 0.5000 0.5000

***

Na2B4O17: calculated X-ray powder pattern (Cu Kα), based on the GGA-PBE geometry in the Materials Project.
Neutral-atom scattering factors, no anomalous dispersion.

The 8 most intense peaks (5° ≤ 2θ ≤ 70°), by angle:
| two_theta | I_rel |
| --- | --- |
| 12.4 | 15 |
| 13.8 | 100 |
| 14.6 | 20 |
| 16.8 | 18 |
| 20.0 | 15 |
| 27.7 | 62 |
| 33.1 | 21 |
| 39.0 | 15 |

Structural model:
Cell lengths 8.2770, 8.2770, 12.7892 Å; angles 103.54, 103.54, 71.40 degrees
Element x y z (fractional)
Na: 0.0853 0.0986 0.4524
Na: 0.0986 0.0853 0.9524
Na: 0.9014 0.9147 0.0476
Na: 0.9147 0.9014 0.5476
B: 0.2906 0.6823 0.9863
B: 0.3177 0.7094 0.5137
B: 0.4874 0.4996 0.1425
B: 0.4996 0.4874 0.6425
B: 0.5004 0.5126 0.3575
B: 0.5126 0.5004 0.8575
B: 0.6823 0.2906 0.4863
B: 0.7094 0.3177 0.0137
O: 0.0099 0.9126 0.2802
O: 0.0429 0.4467 0.5298
O: 0.0874 0.9901 0.2198
O: 0.1347 0.3913 0.3164
O: 0.1570 0.8211 0.9897
O: 0.1789 0.8430 0.5103
O: 0.1802 0.8198 0.2500
O: 0.2100 0.7900 0.7500
O: 0.2296 0.2872 0.3758
O: 0.2872 0.2296 0.8758
O: 0.3562 0.5917 0.0745
O: 0.3688 0.6197 0.8913
O: 0.3803 0.6312 0.6087
O: 0.3913 0.1347 0.8164
O: 0.4083 0.6438 0.4255
O: 0.4467 0.0429 0.0298
O: 0.4686 0.5314 0.2500
O: 0.5314 0.4686 0.7500
O: 0.5533 0.9571 0.9702
O: 0.5917 0.3562 0.5745
O: 0.6087 0.8653 0.1836
O: 0.6197 0.3688 0.3913
O: 0.6312 0.3803 0.1087
O: 0.6438 0.4083 0.9255
O: 0.7128 0.7704 0.1242
O: 0.7704 0.7128 0.6242
O: 0.7900 0.2100 0.2500
O: 0.8198 0.1802 0.7500
O: 0.8211 0.1570 0.4897
O: 0.8430 0.1789 0.0103
O: 0.8653 0.6087 0.6836
O: 0.9126 0.0099 0.7802
O: 0.9571 0.5533 0.4702
O: 0.9901 0.0874 0.7198

***

Na2B4O17: calculated X-ray powder pattern (Cu Kα), based on the GGA-PBE geometry in the Materials Project.
Neutral-atom scattering factors, no anomalous dispersion.

The 8 most intense peaks (5° ≤ 2θ ≤ 70°), by angle:
| two_theta | I_rel |
| --- | --- |
| 11.8 | 32 |
| 14.7 | 100 |
| 17.7 | 15 |
| 23.5 | 15 |
| 26.1 | 22 |
| 27.7 | 30 |
| 28.5 | 15 |
| 33.6 | 16 |

Structural model:
Cell lengths 7.6090, 7.6090, 13.5341 Å; angles 100.42, 100.42, 90.79 degrees
Element x y z (fractional)
Na: 0.0000 0.5000 0.5000
Na: 0.0352 0.9648 0.7500
Na: 0.5000 0.0000 0.0000
Na: 0.9648 0.0352 0.2500
B: 0.2762 0.5339 0.2233
B: 0.2854 0.6726 0.3934
B: 0.3274 0.7146 0.1066
B: 0.4661 0.7238 0.2767
B: 0.5339 0.2762 0.7233
B: 0.6726 0.2854 0.8934
B: 0.7146 0.3274 0.6066
B: 0.7238 0.4661 0.7767
O: 0.1032 0.1959 0.4064
O: 0.1569 0.4298 0.6984
O: 0.1883 0.2699 0.6909
O: 0.1902 0.5444 0.3060
O: 0.1959 0.1032 0.9064
O: 0.2082 0.5877 0.1323
O: 0.2424 0.6808 0.4841
O: 0.2612 0.2742 0.9216
O: 0.2699 0.1883 0.1909
O: 0.2742 0.2612 0.4216
O: 0.3172 0.3882 0.4990
O: 0.3192 0.7576 0.0159
O: 0.3882 0.3172 0.9990
O: 0.4123 0.7918 0.3677
O: 0.4298 0.1569 0.1984
O: 0.4556 0.8098 0.1940
O: 0.4650 0.5350 0.2500
O: 0.5350 0.4650 0.7500
O: 0.5444 0.1902 0.8060
O: 0.5702 0.8431 0.8016
O: 0.5877 0.2082 0.6323
O: 0.6118 0.6828 0.0010
O: 0.6808 0.2424 0.9841
O: 0.6828 0.6118 0.5010
O: 0.7258 0.7388 0.5784
O: 0.7301 0.8117 0.8091
O: 0.7388 0.7258 0.0784
O: 0.7576 0.3192 0.5159
O: 0.7918 0.4123 0.8677
O: 0.8041 0.8968 0.0936
O: 0.8098 0.4556 0.6940
O: 0.8117 0.7301 0.3091
O: 0.8431 0.5702 0.3016
O: 0.8968 0.8041 0.5936

***

Na2B4O17: calculated X-ray powder pattern (Cu Kα), based on the GGA-PBE geometry in the Materials Project.
Neutral-atom scattering factors, no anomalous dispersion.

The 8 most intense peaks (5° ≤ 2θ ≤ 70°), by angle:
| two_theta | I_rel |
| --- | --- |
| 13.2 | 100 |
| 13.6 | 24 |
| 18.3 | 33 |
| 26.5 | 55 |
| 32.1 | 21 |
| 34.2 | 16 |
| 34.6 | 12 |
| 37.2 | 14 |

Structural model:
Cell lengths 8.3183, 8.3183, 12.9257 Å; angles 94.82, 94.82, 71.16 degrees
Element x y z (fractional)
Na: 0.0935 0.0992 0.4511
Na: 0.0992 0.0935 0.9511
Na: 0.9008 0.9065 0.0489
Na: 0.9065 0.9008 0.5489
B: 0.2982 0.6896 0.0025
B: 0.3104 0.7018 0.4975
B: 0.4961 0.5013 0.6438
B: 0.4987 0.5039 0.8562
B: 0.5013 0.4961 0.1438
B: 0.5039 0.4987 0.3562
B: 0.6896 0.2982 0.5025
B: 0.7018 0.3104 0.9975
O: 0.0368 0.9252 0.3025
O: 0.0599 0.4707 0.5323
O: 0.0748 0.9632 0.1975
O: 0.1652 0.8297 0.4961
O: 0.1703 0.8348 0.0039
O: 0.1852 0.8148 0.2500
O: 0.1900 0.3947 0.3126
O: 0.2186 0.7814 0.7500
O: 0.2617 0.2707 0.3650
O: 0.2707 0.2617 0.8650
O: 0.3631 0.6103 0.0963
O: 0.3648 0.6139 0.9073
O: 0.3861 0.6352 0.5927
O: 0.3897 0.6369 0.4037
O: 0.3947 0.1900 0.8126
O: 0.4707 0.0599 0.0323
O: 0.4900 0.5100 0.7500
O: 0.5100 0.4900 0.2500
O: 0.5293 0.9401 0.9677
O: 0.6053 0.8100 0.1874
O: 0.6103 0.3631 0.5963
O: 0.6139 0.3648 0.4073
O: 0.6352 0.3861 0.0927
O: 0.6369 0.3897 0.9037
O: 0.7293 0.7383 0.1350
O: 0.7383 0.7293 0.6350
O: 0.7814 0.2186 0.2500
O: 0.8100 0.6053 0.6874
O: 0.8148 0.1852 0.7500
O: 0.8297 0.1652 0.9961
O: 0.8348 0.1703 0.5039
O: 0.9252 0.0368 0.8025
O: 0.9401 0.5293 0.4677
O: 0.9632 0.0748 0.6975

***

Na2B4O17: calculated X-ray powder pattern (Cu Kα), based on the GGA-PBE geometry in the Materials Project.
Neutral-atom scattering factors, no anomalous dispersion.

The 8 most intense peaks (5° ≤ 2θ ≤ 70°), by angle:
| two_theta | I_rel |
| --- | --- |
| 14.4 | 100 |
| 22.4 | 16 |
| 23.0 | 45 |
| 25.1 | 16 |
| 31.8 | 20 |
| 32.7 | 15 |
| 33.0 | 20 |
| 34.9 | 18 |

Structural model:
Cell lengths 8.1436, 8.1436, 12.9359 Å; angles 98.89, 98.89, 101.43 degrees
Element x y z (fractional)
Na: 0.0000 0.0000 0.2500
Na: 0.0000 0.0000 0.7500
Na: 0.0000 0.5000 0.0000
Na: 0.5000 0.0000 0.5000
B: 0.2654 0.5390 0.7222
B: 0.2780 0.6788 0.8991
B: 0.3212 0.7220 0.6009
B: 0.4610 0.7346 0.7778
B: 0.5390 0.2654 0.2222
B: 0.6788 0.2780 0.3991
B: 0.7220 0.3212 0.1009
B: 0.7346 0.4610 0.2778
O: 0.0355 0.9607 0.0311
O: 0.0393 0.9645 0.4689
O: 0.1586 0.3967 0.1833
O: 0.1811 0.5444 0.8075
O: 0.1907 0.2576 0.1955
O: 0.2073 0.5789 0.6255
O: 0.2100 0.2745 0.4159
O: 0.2232 0.6974 0.9892
O: 0.2576 0.1907 0.6955
O: 0.2745 0.2100 0.9159
O: 0.3004 0.3408 0.9840
O: 0.3026 0.7768 0.5108
O: 0.3408 0.3004 0.4840
O: 0.3967 0.1586 0.6833
O: 0.4211 0.7927 0.8745
O: 0.4443 0.5557 0.7500
O: 0.4556 0.8189 0.6925
O: 0.5444 0.1811 0.3075
O: 0.5557 0.4443 0.2500
O: 0.5789 0.2073 0.1255
O: 0.6033 0.8414 0.3167
O: 0.6592 0.6996 0.5160
O: 0.6974 0.2232 0.4892
O: 0.6996 0.6592 0.0160
O: 0.7256 0.7900 0.0841
O: 0.7424 0.8093 0.3045
O: 0.7768 0.3026 0.0108
O: 0.7900 0.7256 0.5841
O: 0.7927 0.4211 0.3745
O: 0.8093 0.7424 0.8045
O: 0.8189 0.4556 0.1925
O: 0.8414 0.6033 0.8167
O: 0.9607 0.0355 0.5311
O: 0.9645 0.0393 0.9689